(1)
Diffraction record for PmPr5Th. The X-ray diffraction stick pattern is calculated, not measured: it uses DFT lattice parameters and positions (GGA-PBE) and Cu Kα (λ = 1.5418 Å).
Intensities are scaled so that the largest is 100.

Structure:
abc: 5.808 5.808 7.905
angles: 90.00 90.00 90.00
Fractional positions:
Pm 0.000 0.000 0.000
Pr 0.000 0.500 0.282
Pr 0.000 0.500 0.718
Pr 0.500 0.000 0.282
Pr 0.500 0.000 0.718
Pr 0.500 0.500 0.000
Th 0.000 0.000 0.500

Principal peaks in the range 2θ from 15° to 90°, sorted by position:
| Position (°2θ) | d_spacing | I_rel |
| --- | --- | --- |
| 15.25 | 5.808 | 13 |
| 18.96 | 4.681 | 15 |
| 30.79 | 2.904 | 57 |
| 31.41 | 2.848 | 100 |
| 44.10 | 2.053 | 22 |
| 55.14 | 1.666 | 41 |
| 56.31 | 1.634 | 15 |
| 64.14 | 1.452 | 7 |
| 65.56 | 1.424 | 9 |
| 72.82 | 1.299 | 10 |
| 73.16 | 1.294 | 9 |
| 89.55 | 1.095 | 11 |

=====

(2)
Diffraction record for Pm6Pr5Th2. The X-ray diffraction stick pattern is calculated, not measured: it uses DFT lattice parameters and positions (GGA-PBE) and Cu Kα (λ = 1.5418 Å).
Intensities are scaled so that the largest is 100.

Structure:
abc: 11.769 21.388 3.658
angles: 90.00 90.00 90.00
Fractional positions:
Pm 0.065 0.148 0.000
Pm 0.082 0.438 0.000
Pm 0.185 0.875 0.500
Pm 0.315 0.375 0.500
Pm 0.418 0.938 0.000
Pm 0.435 0.648 0.000
Pm 0.565 0.352 0.000
Pm 0.582 0.062 0.000
Pm 0.685 0.625 0.500
Pm 0.815 0.125 0.500
Pm 0.918 0.562 0.000
Pm 0.935 0.852 0.000
Pr 0.000 0.000 0.500
Pr 0.061 0.294 0.500
Pr 0.190 0.581 0.500
Pr 0.310 0.081 0.500
Pr 0.439 0.794 0.500
Pr 0.500 0.500 0.500
Pr 0.561 0.206 0.500
Pr 0.690 0.919 0.500
Pr 0.810 0.419 0.500
Pr 0.939 0.706 0.500
Th 0.193 0.735 0.000
Th 0.307 0.235 0.000
Th 0.693 0.765 0.000
Th 0.807 0.265 0.000

Principal peaks in the range 2θ from 15° to 90°, sorted by position:
| Position (°2θ) | d_spacing | I_rel |
| --- | --- | --- |
| 28.45 | 3.137 | 35 |
| 29.29 | 3.049 | 25 |
| 29.95 | 2.983 | 27 |
| 30.22 | 2.957 | 65 |
| 30.57 | 2.924 | 45 |
| 30.67 | 2.915 | 90 |
| 31.41 | 2.848 | 100 |
| 33.36 | 2.686 | 76 |
| 33.98 | 2.638 | 27 |
| 35.85 | 2.505 | 25 |
| 49.86 | 1.829 | 25 |
| 59.68 | 1.549 | 28 |

=====

(3)
Diffraction record for PmPrY5Th2. The X-ray diffraction stick pattern is calculated, not measured: it uses DFT lattice parameters and positions (GGA-PBE) and Cu Kα (λ = 1.5418 Å).
Intensities are scaled so that the largest is 100.

Structure:
abc: 9.959 9.959 9.959
angles: 126.91 126.91 78.40
Fractional positions:
Pm 0.250 0.250 0.000
Pm 0.750 0.750 0.000
Pr 0.250 0.750 0.500
Pr 0.750 0.250 0.500
Y 0.000 0.000 0.000
Y 0.070 0.570 0.914
Y 0.157 0.070 0.500
Y 0.343 0.843 0.914
Y 0.430 0.343 0.500
Y 0.500 0.500 0.000
Y 0.570 0.657 0.500
Y 0.657 0.157 0.086
Y 0.843 0.930 0.500
Y 0.930 0.430 0.086
Th 0.118 0.382 0.500
Th 0.382 0.882 0.264
Th 0.618 0.118 0.736
Th 0.882 0.618 0.500

Principal peaks in the range 2θ from 15° to 90°, sorted by position:
| Position (°2θ) | d_spacing | I_rel |
| --- | --- | --- |
| 23.06 | 3.856 | 35 |
| 28.35 | 3.148 | 100 |
| 30.67 | 2.915 | 75 |
| 31.79 | 2.815 | 16 |
| 36.86 | 2.439 | 55 |
| 42.27 | 2.138 | 31 |
| 47.12 | 1.929 | 27 |
| 51.67 | 1.769 | 15 |
| 55.91 | 1.645 | 23 |
| 58.65 | 1.574 | 17 |
| 63.89 | 1.457 | 21 |
| 78.44 | 1.219 | 23 |

=====

(4)
Diffraction record for PmPr2YTh. The X-ray diffraction stick pattern is calculated, not measured: it uses DFT lattice parameters and positions (GGA-PBE) and Cu Kα (λ = 1.5418 Å).
Intensities are scaled so that the largest is 100.

Structure:
abc: 6.429 8.594 6.624
angles: 90.00 103.82 90.00
Fractional positions:
Pm 0.000 0.092 0.250
Pm 0.000 0.908 0.750
Pr 0.217 0.326 0.660
Pr 0.217 0.674 0.160
Pr 0.783 0.326 0.840
Pr 0.783 0.674 0.340
Y 0.500 0.337 0.250
Y 0.500 0.663 0.750
Th 0.500 0.000 0.000
Th 0.500 0.000 0.500

Principal peaks in the range 2θ from 15° to 90°, sorted by position:
| Position (°2θ) | d_spacing | I_rel |
| --- | --- | --- |
| 24.42 | 3.645 | 11 |
| 24.92 | 3.573 | 21 |
| 29.91 | 2.987 | 54 |
| 30.47 | 2.933 | 100 |
| 31.22 | 2.865 | 32 |
| 34.28 | 2.616 | 28 |
| 34.45 | 2.604 | 12 |
| 34.84 | 2.575 | 11 |
| 35.06 | 2.559 | 29 |
| 35.56 | 2.525 | 25 |
| 35.88 | 2.503 | 12 |
| 36.40 | 2.468 | 11 |